For Cs2AsH2, DFT lattice parameters and positions (PBE) gives the simulated powder diffractogram in this record (Cu Kα (weighted mean of Kα1 and Kα2)).
Neutral-atom scattering factors, no anomalous dispersion.

Most intense lines, 5° ≤ 2θ ≤ 70°, low angle first:
| 2theta | I_rel | hkl |
| --- | --- | --- |
| 6.38 | 69 | 0 0 1 |
| 15.19 | 43 | 2 0 -2 |
| 17.56 | 76 | 2 0 1 |
| 19.23 | 68 | 2 0 -3 |
| 22.96 | 74 | 1 1 -1 |
| 24.87 | 46 | 1 1 -2 |
| 25.71 | 100 | 0 0 4 |
| 26.59 | 90 | 4 0 -2 |
| 29.52 | 77 | 3 1 -1 |
| 31.67 | 92 | 1 1 3 |
| 35.55 | 44 | 4 0 2 |
| 38.54 | 55 | 3 1 -5 |

Cell and atoms:
a b c (Å): 13.463 4.107 14.904
angles (deg): 90.00 111.57 90.00
Space group C2/m (No. 12)
Unique sites:
Cs 0.070 0.000 0.366 [4 per cell]
Cs 0.203 0.500 0.121 [4 per cell]
As 0.059 0.500 0.852 [4 per cell]
H 0.061 0.000 0.847 [4 per cell]
H 0.106 0.500 0.770 [4 per cell]